Diffraction record for Nb3SeBr3Cl4. The X-ray powder pattern is theoretical, not measured: it uses DFT lattice parameters and positions (GGA-PBE) and Cu Kα (weighted mean of Kα1 and Kα2).
No peak broadening, texture or thermal motion is included.

Largest 6 diffraction maxima, low angle first, 10° ≤ 2θ ≤ 90°:
| index | Position (°2θ) | I (rel.) |
| --- | --- | --- |
| 0 0 1 | 13.4 | 91 |
| 1 0 0 | 14.5 | 24 |
| 0 2 1 | 32.3 | 100 |
| 0 2 2 | 40.2 | 60 |
| 2 0 3 | 51.1 | 26 |
| 2 2 0 | 51.8 | 23 |

Structural model:
Cell: 7.0577 7.0577 6.6158 Å, 90.00 90.00 120.00°
Space group P3m1 (No. 156)
Symmetry-distinct sites (fractional):
Nb  0.1966  0.3931  0.0000 x3
Se  0.3333  0.6667  0.2872 x1
Br  0.3374  0.1687  0.2210 x3
Cl  0.0000  0.0000  0.8048 x1
Cl  0.0052  0.5026  0.7607 x3



Diffraction record for Nd2Br5Cl. The X-ray powder pattern is theoretical, not measured: it uses DFT lattice parameters and positions (GGA-PBE) and Cu Kα (weighted mean of Kα1 and Kα2).
No peak broadening, texture or thermal motion is included.

Largest 6 diffraction maxima, low angle first, 10° ≤ 2θ ≤ 90°:
| index | Position (°2θ) | I (rel.) |
| --- | --- | --- |
| 1 0 0 | 12.8 | 100 |
| 1 0 -1 | 12.9 | 76 |
| 0 1 2 | 32.9 | 69 |
| 2 1 0 | 33.1 | 92 |
| 2 1 -2 | 33.3 | 68 |
| 2 1 -3 | 40.4 | 61 |

Structural model:
Cell: 7.9093 4.3574 7.9685 Å, 90.00 118.98 90.00°
Space group Pm (No. 6)
Symmetry-distinct sites (fractional):
Nd  0.0000  0.0000  0.0000 x1
Nd  0.3292  0.5000  0.6703 x1
Br  0.0498  0.0000  0.4172 x1
Br  0.2820  0.5000  0.2387 x1
Br  0.5758  0.0000  0.6317 x1
Br  0.7459  0.5000  0.0355 x1
Br  0.9603  0.5000  0.7176 x1
Cl  0.3452  0.0000  0.9210 x1



Diffraction record for Nd2Br3Cl3. The X-ray powder pattern is theoretical, not measured: it uses DFT lattice parameters and positions (GGA-PBE) and Cu Kα (weighted mean of Kα1 and Kα2).
No peak broadening, texture or thermal motion is included.

Largest 6 diffraction maxima, low angle first, 10° ≤ 2θ ≤ 90°:
| index | Position (°2θ) | I (rel.) |
| --- | --- | --- |
| 1 0 0 | 13.2 | 74 |
| 1 0 1 | 24.5 | 32 |
| 1 1 1 | 31.0 | 45 |
| 2 0 1 | 33.9 | 100 |
| 3 0 0 | 40.4 | 33 |
| 1 2 1 | 41.4 | 59 |

Structural model:
Cell: 7.7274 7.7274 4.3215 Å, 90.00 90.00 120.00°
Space group P-6 (No. 174)
Symmetry-distinct sites (fractional):
Nd  0.0000  0.0000  0.0000 x1
Nd  0.3333  0.6667  0.5000 x1
Br  0.3010  0.2474  0.5000 x3
Cl  0.0746  0.4209  0.0000 x3



Which formula does entry 1 have? Nb3SeBr3Cl4